# 1
This entry pairs a crystal structure of ZrF4 with its computed XRD peak list. Radiation: CuKα. Structure: a GGA-PBE-relaxed structure.

Peak list (12 most intense, 2θ = 15–90°, by intensity)
two_theta	I (rel.)
21.49	100
22.90	60
21.00	60
25.08	28
43.00	25
42.71	25
18.12	24
48.32	20
30.22	19
43.78	19
48.07	15
49.03	14

Atomic structure:
Cell lengths 4.231, 4.231, 19.586 Å; angles 90.00, 90.00, 90.00 degrees
Space group P4/mmm (No. 123)
Symmetry-distinct sites (fractional):
Zr 0.000 0.000 0.000
F 0.000 0.000 0.099
F 0.000 0.500 0.000

# 2
This entry pairs a crystal structure of Li3SiO4 with its computed XRD peak list. Radiation: CuKα. Structure: a GGA-PBE-relaxed structure.

Peak list (12 most intense, 2θ = 15–90°, by intensity)
two_theta	I (rel.)
22.04	100
33.98	73
33.30	59
23.88	38
60.38	35
27.81	25
48.29	19
16.80	18
59.08	12
71.03	11
55.09	11
69.94	10

Atomic structure:
Cell lengths 7.450, 7.474, 6.255 Å; angles 90.00, 90.00, 90.00 degrees
Space group Cmcm (No. 63)
Symmetry-distinct sites (fractional):
Li 0.000 0.195 0.250
Li 0.178 0.500 0.000
Si 0.000 0.181 0.750
O 0.000 0.303 0.533
O 0.171 0.040 0.750

# 3
This entry pairs a crystal structure of BaZrAs2O8 with its computed XRD peak list. Radiation: CuKα. Structure: a GGA-PBE-relaxed structure.

Peak list (12 most intense, 2θ = 15–90°, by intensity)
two_theta	I (rel.)
28.57	100
34.50	64
29.30	61
21.88	59
31.52	44
20.24	41
22.61	29
18.62	29
56.97	20
54.76	19
58.63	19
44.60	18

Atomic structure:
Cell lengths 8.783, 5.676, 8.108 Å; angles 90.00, 92.62, 90.00 degrees
Space group C2/m (No. 12)
Symmetry-distinct sites (fractional):
Ba 0.000 0.000 0.000
Zr 0.000 0.000 0.500
As 0.135 0.500 0.283
O 0.023 0.251 0.306
O 0.201 0.500 0.091
O 0.232 0.000 0.555

# 4
This entry pairs a crystal structure of BaSrEuSbO6 with its computed XRD peak list. Radiation: CuKα. Structure: a GGA-PBE-relaxed structure.

Peak list (12 most intense, 2θ = 15–90°, by intensity)
two_theta	I (rel.)
29.47	100
29.72	49
52.35	16
52.62	15
42.23	14
42.05	13
42.57	13
61.11	11
52.49	11
52.18	10
61.73	8
52.91	6

Atomic structure:
Cell lengths 6.016, 6.068, 8.561 Å; angles 90.35, 90.26, 90.67 degrees
Space group P-1 (No. 2)
Symmetry-distinct sites (fractional):
Ba 0.006 0.029 0.249
Sr 0.492 0.539 0.251
Eu 0.000 0.500 0.500
Eu 0.500 0.000 0.000
Sb 0.000 0.500 0.000
Sb 0.500 0.000 0.500
O 0.079 0.507 0.767
O 0.201 0.763 0.037
O 0.237 0.796 0.467
O 0.269 0.303 0.041
O 0.306 0.273 0.461
O 0.439 0.027 0.733

# 5
This entry pairs a crystal structure of ErHSe with its computed XRD peak list. Radiation: CuKα. Structure: a GGA-PBE-relaxed structure.

Peak list (12 most intense, 2θ = 15–90°, by intensity)
two_theta	I (rel.)
35.73	100
27.05	44
47.78	28
61.07	21
81.05	19
69.13	19
54.90	13
46.81	10
79.60	10
22.91	8
55.77	6
53.63	5

Atomic structure:
Cell lengths 3.8069, 3.8069, 3.8811 Å; angles 90.00, 90.00, 120.00 degrees
Space group P-6m2 (No. 187)
Symmetry-distinct sites (fractional):
Er 0.0000 0.0000 0.0000
H 0.3333 0.6667 0.0000
Se 0.6667 0.3333 0.5000

# 6
This entry pairs a crystal structure of Mg2Al4Zn3 with its computed XRD peak list. Radiation: CuKα. Structure: a GGA-PBE-relaxed structure.

Peak list (12 most intense, 2θ = 15–90°, by intensity)
two_theta	I (rel.)
42.34	100
45.88	83
36.71	83
43.72	62
38.10	50
36.25	47
23.94	35
61.25	33
21.45	30
65.26	27
72.00	27
48.81	22

Atomic structure:
Cell lengths 4.978, 8.635, 14.867 Å; angles 90.00, 90.00, 90.00 degrees
Space group Cmcm (No. 63)
Symmetry-distinct sites (fractional):
Mg 0.000 0.167 0.142
Al 0.000 0.167 0.561
Al 0.000 0.500 0.088
Zn 0.000 0.332 0.750
Zn 0.248 0.084 0.750